Computed powder X-ray diffraction pattern
Compound: LiDy2Tl6
Radiation: copper Kα
Structure: a PBE-relaxed structure

Main lines, low angle first (10 to 80 degrees two-theta):
- 2θ = 27.48°, 3.245 Å, I 41
- 2θ = 31.53°, 2.838 Å, I 29
- 2θ = 32.49°, 2.756 Å, I 62
- 2θ = 32.97°, 2.717 Å, I 65
- 2θ = 34.60°, 2.592 Å, I 65
- 2θ = 36.12°, 2.487 Å, I 100
- 2θ = 39.57°, 2.277 Å, I 36
- 2θ = 41.31°, 2.185 Å, I 32
- 2θ = 57.15°, 1.612 Å, I 38
- 2θ = 63.78°, 1.459 Å, I 39

Structure:
```
LiDy2Tl6
1.0
4.1801 -8.2682 0.0000
4.1801 8.2682 0.0000
0.0000 0.0000 3.6043
Li Dy Tl
1 2 6
direct
0.0000 0.0000 0.0000 Li
0.3074 0.6926 0.5000 Dy
0.6926 0.3074 0.5000 Dy
0.0281 0.3419 0.0000 Tl
0.3109 0.3109 0.5000 Tl
0.3419 0.0281 0.0000 Tl
0.6581 0.9719 0.0000 Tl
0.6891 0.6891 0.5000 Tl
0.9719 0.6581 0.0000 Tl
```